1.
Ga2Sn4I9: simulated X-ray powder pattern (Cu Ka), based on a crystal structure in Alexandria, relaxed with GGA-PBE.

Principal peaks in the range 10 to 90 degrees two-theta, sorted by position:
| 2theta | intensity |
| --- | --- |
| 14.89 | 17 |
| 15.04 | 13 |
| 24.72 | 52 |
| 25.38 | 100 |
| 31.52 | 42 |
| 32.33 | 38 |
| 32.53 | 38 |
| 38.81 | 25 |
| 39.57 | 47 |
| 40.73 | 14 |
| 41.95 | 13 |
| 46.41 | 14 |

Structural model:
```
Ga2Sn4I9
1.0
7.8411 0.0000 0.0000
-3.9188 6.9647 0.0000
-0.0156 -0.8392 23.4761
Ga Sn I
4 8 18
direct
0.9998 0.0058 0.1629
0.0002 0.9942 0.8371
0.0059 0.0056 0.6629
0.9941 0.9944 0.3371
0.3030 0.6597 0.8242
0.3328 0.6696 0.5054
0.3367 0.6696 0.0053
0.3565 0.6591 0.3242
0.6435 0.3409 0.6758
0.6633 0.3304 0.9947
0.6672 0.3304 0.4946
0.6970 0.3403 0.1758
0.0010 0.3448 0.0834
0.0115 0.3523 0.4208
0.0199 0.6844 0.2484
0.3297 0.0003 0.7501
0.3358 0.3153 0.2517
0.3387 0.9733 0.4173
0.3405 0.3522 0.9208
0.3433 0.3442 0.5834
0.3651 0.0267 0.0826
0.6349 0.9733 0.9174
0.6567 0.6558 0.4166
0.6595 0.6478 0.0792
0.6613 0.0267 0.5827
0.6642 0.6847 0.7483
0.6703 0.9997 0.2499
0.9801 0.3156 0.7516
0.9885 0.6477 0.5792
0.9990 0.6552 0.9166
```


2.
Ga2SnI6: simulated X-ray powder pattern (Cu Ka), based on a crystal structure in Alexandria, relaxed with GGA-PBE.

Principal peaks in the range 10 to 90 degrees two-theta, sorted by position:
| 2theta | intensity |
| --- | --- |
| 10.53 | 9 |
| 13.78 | 18 |
| 15.07 | 10 |
| 21.15 | 26 |
| 25.52 | 100 |
| 31.58 | 26 |
| 39.85 | 27 |
| 40.73 | 29 |
| 46.34 | 15 |
| 48.68 | 14 |
| 60.77 | 9 |
| 65.29 | 9 |

Structural model:
```
Ga2SnI6
1.0
3.8371 2.2153 8.4007
-3.8371 2.2153 8.4007
0.0000 -4.4307 8.4007
Ga Sn I
2 1 6
direct
0.0000 0.0000 0.0000
0.0962 0.0962 0.0962
0.3813 0.3813 0.3813
0.1650 0.7974 0.4389
0.2683 0.6271 0.9916
0.4389 0.1650 0.7974
0.6271 0.9916 0.2683
0.7974 0.4389 0.1650
0.9916 0.2683 0.6271
```


3.
Sr5Ga2I2: simulated X-ray powder pattern (Cu Ka), based on a crystal structure in Alexandria, relaxed with GGA-PBE.

Principal peaks in the range 10 to 90 degrees two-theta, sorted by position:
| 2theta | intensity |
| --- | --- |
| 22.64 | 36 |
| 27.40 | 43 |
| 28.69 | 45 |
| 28.90 | 77 |
| 29.47 | 56 |
| 30.68 | 60 |
| 32.59 | 100 |
| 34.44 | 38 |
| 41.61 | 33 |
| 46.13 | 27 |
| 51.31 | 31 |
| 59.85 | 30 |

Structural model:
```
Sr5Ga2I2
1.0
8.6779 -4.3957 0.0000
8.6779 4.3957 0.0000
0.0000 0.0000 8.8092
Sr Ga I
10 4 4
direct
0.0000 0.0000 0.0000
0.0462 0.7199 0.6615
0.2199 0.5462 0.1615
0.2801 0.9538 0.6615
0.4538 0.7801 0.1615
0.5000 0.5000 0.5000
0.5462 0.2199 0.8385
0.7199 0.0462 0.3385
0.7801 0.4538 0.8385
0.9538 0.2801 0.3385
0.1275 0.8725 0.3728
0.3725 0.6275 0.8728
0.6275 0.3725 0.1272
0.8725 0.1275 0.6272
0.2113 0.2113 0.0000
0.2887 0.2887 0.5000
0.7113 0.7113 0.5000
0.7887 0.7887 0.0000
```


4.
SrGa3I12: simulated X-ray powder pattern (Cu Ka), based on a crystal structure in Alexandria, relaxed with GGA-PBE.

Principal peaks in the range 10 to 90 degrees two-theta, sorted by position:
| 2theta | intensity |
| --- | --- |
| 14.01 | 34 |
| 14.22 | 31 |
| 20.67 | 24 |
| 24.39 | 74 |
| 25.06 | 100 |
| 28.24 | 50 |
| 28.34 | 44 |
| 28.82 | 66 |
| 29.81 | 21 |
| 40.80 | 29 |
| 48.11 | 22 |
| 49.85 | 24 |

Structural model:
```
SrGa3I12
1.0
6.3211 3.6495 12.4560
-6.3211 3.6495 12.4560
0.0000 -7.2989 12.4560
Sr Ga I
2 6 24
direct
0.0000 0.0000 0.0000
0.5000 0.5000 0.5000
0.1604 0.7926 0.3934
0.2926 0.6604 0.8934
0.3934 0.1604 0.7926
0.6604 0.8934 0.2926
0.7926 0.3934 0.1604
0.8934 0.2926 0.6604
0.0440 0.0532 0.7078
0.0532 0.7078 0.0440
0.1806 0.1977 0.8133
0.1977 0.8133 0.1806
0.2078 0.5532 0.5440
0.3133 0.6977 0.6806
0.3332 0.8424 0.8435
0.3424 0.8332 0.3435
0.3435 0.3424 0.8332
0.4351 0.4405 0.9982
0.4405 0.9982 0.4351
0.4982 0.9405 0.9351
0.5440 0.2078 0.5532
0.5532 0.5440 0.2078
0.6806 0.3133 0.6977
0.6977 0.6806 0.3133
0.7078 0.0440 0.0532
0.8133 0.1806 0.1977
0.8332 0.3435 0.3424
0.8424 0.8435 0.3332
0.8435 0.3332 0.8424
0.9351 0.4982 0.9405
0.9405 0.9351 0.4982
0.9982 0.4351 0.4405
```


5.
Ta2GaI: simulated X-ray powder pattern (Cu Ka), based on a crystal structure in Alexandria, relaxed with GGA-PBE.

Principal peaks in the range 10 to 90 degrees two-theta, sorted by position:
| 2theta | intensity |
| --- | --- |
| 23.06 | 2 |
| 26.69 | 10 |
| 38.10 | 100 |
| 45.01 | 1 |
| 47.13 | 3 |
| 54.98 | 17 |
| 62.14 | 4 |
| 68.85 | 35 |
| 81.51 | 11 |
| 87.64 | 2 |

Structural model:
```
Ta2GaI
1.0
0.0000 3.3402 3.3402
3.3402 0.0000 3.3402
3.3402 3.3402 0.0000
Ta Ga I
2 1 1
direct
0.2500 0.2500 0.2500
0.7500 0.7500 0.7500
0.0000 0.0000 0.0000
0.5000 0.5000 0.5000
```


6.
TaGaI2: simulated X-ray powder pattern (Cu Ka), based on a crystal structure in Alexandria, relaxed with GGA-PBE.

Principal peaks in the range 10 to 90 degrees two-theta, sorted by position:
| 2theta | intensity |
| --- | --- |
| 14.07 | 55 |
| 14.73 | 37 |
| 17.18 | 72 |
| 26.31 | 100 |
| 28.00 | 51 |
| 31.81 | 51 |
| 32.32 | 37 |
| 35.00 | 31 |
| 39.15 | 64 |
| 43.74 | 34 |
| 46.31 | 33 |
| 47.43 | 46 |

Structural model:
```
TaGaI2
1.0
3.8345 0.0000 0.0000
-1.9049 6.3987 0.0000
-1.8927 -2.1497 11.6695
Ta Ga I
2 2 4
direct
0.0000 0.0000 0.0000
0.0395 0.8771 0.2041
0.4060 0.7582 0.0533
0.7574 0.6918 0.8184
0.1056 0.5521 0.6528
0.2545 0.3122 0.2013
0.5478 0.2195 0.8756
0.6575 0.9301 0.3896
```


7.
ThGa6I12: simulated X-ray powder pattern (Cu Ka), based on a crystal structure in Alexandria, relaxed with GGA-PBE.

Principal peaks in the range 10 to 90 degrees two-theta, sorted by position:
| 2theta | intensity |
| --- | --- |
| 11.88 | 40 |
| 18.32 | 17 |
| 19.56 | 49 |
| 23.86 | 32 |
| 25.04 | 100 |
| 28.64 | 89 |
| 33.53 | 31 |
| 40.23 | 57 |
| 41.71 | 40 |
| 48.63 | 32 |
| 51.40 | 19 |
| 68.26 | 18 |

Structural model:
```
ThGa6I12
1.0
5.7286 3.3074 7.4574
-5.7286 3.3074 7.4574
0.0000 -6.6148 7.4574
Th Ga I
1 6 12
direct
0.0000 0.0000 0.0000
0.1222 0.4347 0.3182
0.3182 0.1222 0.4347
0.4347 0.3182 0.1222
0.5653 0.6818 0.8778
0.6818 0.8778 0.5653
0.8778 0.5653 0.6818
0.0374 0.3167 0.8959
0.1041 0.9626 0.6833
0.1555 0.5957 0.4841
0.3167 0.8959 0.0374
0.4043 0.5159 0.8445
0.4841 0.1555 0.5957
0.5159 0.8445 0.4043
0.5957 0.4841 0.1555
0.6833 0.1041 0.9626
0.8445 0.4043 0.5159
0.8959 0.0374 0.3167
0.9626 0.6833 0.1041
```


8.
ThGa2I6: simulated X-ray powder pattern (Cu Ka), based on a crystal structure in Alexandria, relaxed with GGA-PBE.

Principal peaks in the range 10 to 90 degrees two-theta, sorted by position:
| 2theta | intensity |
| --- | --- |
| 12.63 | 78 |
| 24.40 | 51 |
| 24.50 | 34 |
| 25.32 | 100 |
| 27.48 | 27 |
| 33.09 | 25 |
| 33.48 | 21 |
| 34.02 | 24 |
| 37.66 | 26 |
| 39.00 | 21 |
| 44.09 | 23 |
| 45.50 | 23 |

Structural model:
```
ThGa2I6
1.0
8.0230 0.0000 0.0000
0.0000 8.6275 0.0000
-7.4303 0.0000 12.0209
Th Ga I
2 4 12
direct
0.0000 0.0000 0.0000
0.0000 0.5000 0.5000
0.3346 0.1151 0.8215
0.3346 0.3849 0.3215
0.6654 0.6151 0.6785
0.6654 0.8849 0.1785
0.0830 0.0537 0.2364
0.0830 0.4463 0.7364
0.2514 0.7054 0.0812
0.2514 0.7946 0.5812
0.3718 0.1843 0.0519
0.3718 0.3157 0.5519
0.6282 0.6843 0.4481
0.6282 0.8157 0.9481
0.7486 0.2054 0.4188
0.7486 0.2946 0.9188
0.9170 0.5537 0.2636
0.9170 0.9463 0.7636
```


9.
Tl4Ga3I8: simulated X-ray powder pattern (Cu Ka), based on a crystal structure in Alexandria, relaxed with GGA-PBE.

Principal peaks in the range 10 to 90 degrees two-theta, sorted by position:
| 2theta | intensity |
| --- | --- |
| 11.38 | 11 |
| 21.83 | 10 |
| 26.39 | 100 |
| 26.57 | 49 |
| 37.69 | 58 |
| 37.81 | 57 |
| 46.63 | 21 |
| 46.74 | 20 |
| 54.32 | 13 |
| 61.40 | 31 |
| 68.04 | 20 |
| 68.22 | 13 |

Structural model:
```
Tl4Ga3I8
1.0
6.7107 -6.7597 0.0000
6.7107 6.7597 0.0000
-6.6894 0.0000 6.7501
Tl Ga I
4 3 8
direct
0.0000 0.0000 0.0000
0.0000 0.5000 0.0000
0.5000 0.0000 0.0000
0.5000 0.5000 0.5000
0.0000 0.0000 0.5000
0.0000 0.5000 0.5000
0.5000 0.0000 0.5000
0.2416 0.7584 0.5000
0.2473 0.2473 0.5144
0.2489 0.2489 0.9794
0.2573 0.7427 0.0000
0.7427 0.2573 0.0000
0.7511 0.7511 0.0206
0.7527 0.7527 0.4856
0.7584 0.2416 0.5000
```


10.
Tl4GaI5: simulated X-ray powder pattern (Cu Ka), based on a crystal structure in Alexandria, relaxed with GGA-PBE.

Principal peaks in the range 10 to 90 degrees two-theta, sorted by position:
| 2theta | intensity |
| --- | --- |
| 25.31 | 42 |
| 25.44 | 85 |
| 36.22 | 100 |
| 44.75 | 36 |
| 52.24 | 11 |
| 58.73 | 16 |
| 58.95 | 31 |
| 65.03 | 12 |
| 65.21 | 23 |
| 82.46 | 12 |
| 82.63 | 9 |
| 88.21 | 10 |

Structural model:
```
Tl4GaI5
1.0
-5.5370 5.5370 3.5184
5.5370 -5.5370 3.5184
5.5370 5.5370 -3.5184
Tl Ga I
4 1 5
direct
0.0961 0.6991 0.7953
0.3009 0.0961 0.3970
0.6991 0.9039 0.6030
0.9039 0.3009 0.2047
0.4837 0.4837 0.0000
0.0210 0.0210 0.0000
0.2129 0.4019 0.6144
0.4019 0.7875 0.1890
0.5985 0.2129 0.8110
0.7875 0.5985 0.3856
```


11.
Tl6GaI8: simulated X-ray powder pattern (Cu Ka), based on a crystal structure in Alexandria, relaxed with GGA-PBE.

Principal peaks in the range 10 to 90 degrees two-theta, sorted by position:
| 2theta | intensity |
| --- | --- |
| 13.06 | 20 |
| 16.99 | 24 |
| 21.49 | 32 |
| 26.30 | 31 |
| 29.28 | 100 |
| 29.66 | 62 |
| 31.48 | 56 |
| 36.92 | 24 |
| 38.29 | 18 |
| 43.75 | 16 |
| 45.77 | 14 |
| 48.26 | 13 |

Structural model:
```
Tl6GaI8
1.0
6.7770 0.0000 0.0000
0.0357 10.4326 0.0000
0.0081 5.2159 9.0384
Tl Ga I
6 1 8
direct
0.2230 0.9996 0.1237
0.2227 0.3760 0.5003
0.2231 0.6230 0.8765
0.7770 0.0004 0.8763
0.7769 0.3770 0.1235
0.7773 0.6240 0.4997
0.0000 0.0000 0.5000
0.0009 0.3333 0.8336
0.2432 0.2444 0.2554
0.2436 0.9996 0.7450
0.2446 0.7546 0.5001
0.7554 0.2454 0.4999
0.7564 0.0004 0.2550
0.7568 0.7556 0.7446
0.9991 0.6667 0.1664
```


12.
Tl3Ga2I8: simulated X-ray powder pattern (Cu Ka), based on a crystal structure in Alexandria, relaxed with GGA-PBE.

Principal peaks in the range 10 to 90 degrees two-theta, sorted by position:
| 2theta | intensity |
| --- | --- |
| 11.58 | 15 |
| 19.55 | 11 |
| 21.63 | 44 |
| 26.42 | 100 |
| 28.99 | 14 |
| 37.25 | 37 |
| 37.43 | 18 |
| 38.00 | 17 |
| 38.15 | 36 |
| 46.39 | 12 |
| 52.32 | 11 |
| 54.38 | 16 |

Structural model:
```
Tl3Ga2I8
1.0
8.1254 -4.8052 0.0000
8.1254 4.8052 0.0000
-2.8537 0.0000 7.8752
Tl Ga I
3 2 8
direct
0.0000 0.0000 0.0000
0.2758 0.7242 0.5000
0.7242 0.2758 0.5000
0.3120 0.3120 0.8654
0.6880 0.6880 0.1346
0.1335 0.1335 0.7392
0.1383 0.5975 0.7571
0.3588 0.3588 0.2021
0.4025 0.8617 0.2429
0.5975 0.1383 0.7571
0.6412 0.6412 0.7979
0.8617 0.4025 0.2429
0.8665 0.8665 0.2608
```